Ba2Sb3: computed PXRD pattern (Cu Kα X-rays), based on a crystal structure in the Materials Project, relaxed with PBE.
Peak positions follow from Bragg's law for the DFT cell and can differ from measured ones.

Atomic structure:
```
Ba2Sb3
1.0
7.037 0.000 0.000
0.000 13.694 0.000
-0.042 0.000 16.023
Ba Sb
16 24
Direct
0.022 0.228 0.240 Ba
0.022 0.272 0.740 Ba
0.246 0.623 0.006 Ba
0.246 0.877 0.506 Ba
0.253 0.126 0.993 Ba
0.253 0.374 0.493 Ba
0.476 0.523 0.246 Ba
0.476 0.977 0.746 Ba
0.524 0.023 0.254 Ba
0.524 0.477 0.754 Ba
0.747 0.626 0.507 Ba
0.747 0.874 0.007 Ba
0.754 0.123 0.494 Ba
0.754 0.377 0.994 Ba
0.978 0.728 0.260 Ba
0.978 0.772 0.760 Ba
0.001 0.020 0.669 Sb
0.001 0.480 0.169 Sb
0.101 0.549 0.656 Sb
0.101 0.951 0.156 Sb
0.244 0.117 0.419 Sb
0.244 0.383 0.919 Sb
0.257 0.633 0.430 Sb
0.257 0.867 0.930 Sb
0.411 0.707 0.663 Sb
0.411 0.793 0.163 Sb
0.494 0.231 0.661 Sb
0.494 0.269 0.161 Sb
0.506 0.731 0.839 Sb
0.506 0.769 0.339 Sb
0.589 0.207 0.837 Sb
0.589 0.293 0.337 Sb
0.743 0.133 0.070 Sb
0.743 0.367 0.570 Sb
0.756 0.617 0.081 Sb
0.756 0.883 0.581 Sb
0.899 0.049 0.844 Sb
0.899 0.451 0.344 Sb
0.999 0.520 0.831 Sb
0.999 0.980 0.331 Sb
```

Most intense lines, 5° ≤ 2θ ≤ 70°, in order of falling intensity:
| d/Å | I/Imax |
| --- | --- |
| 3.221 | 100 |
| 3.148 | 88 |
| 2.454 | 68 |
| 3.103 | 64 |
| 2.346 | 51 |
| 3.023 | 40 |
| 3.614 | 37 |
| 2.683 | 32 |

BaSb2Se4: computed PXRD pattern (Cu Kα X-rays), based on a crystal structure in the Materials Project, relaxed with PBE.
Peak positions follow from Bragg's law for the DFT cell and can differ from measured ones.

Atomic structure:
```
BaSb2Se4
1.0
8.781 0.000 0.000
0.000 21.304 0.000
-8.625 0.000 9.298
Ba Sb Se
8 16 32
Direct
0.155 0.195 0.100 Ba
0.155 0.305 0.600 Ba
0.344 0.705 0.898 Ba
0.344 0.795 0.398 Ba
0.656 0.205 0.602 Ba
0.656 0.295 0.102 Ba
0.845 0.695 0.400 Ba
0.845 0.805 0.900 Ba
0.013 0.505 0.355 Sb
0.013 0.995 0.855 Sb
0.162 0.621 0.147 Sb
0.162 0.879 0.647 Sb
0.370 0.112 0.880 Sb
0.370 0.388 0.380 Sb
0.396 0.034 0.591 Sb
0.396 0.466 0.091 Sb
0.604 0.534 0.909 Sb
0.604 0.966 0.409 Sb
0.630 0.612 0.620 Sb
0.630 0.888 0.120 Sb
0.838 0.121 0.353 Sb
0.838 0.379 0.853 Sb
0.987 0.005 0.145 Sb
0.987 0.495 0.645 Sb
0.019 0.033 0.663 Se
0.019 0.467 0.163 Se
0.196 0.218 0.851 Se
0.196 0.282 0.351 Se
0.196 0.646 0.366 Se
0.196 0.854 0.866 Se
0.231 0.587 0.680 Se
0.231 0.913 0.180 Se
0.233 0.153 0.572 Se
0.233 0.347 0.072 Se
0.316 0.728 0.147 Se
0.316 0.772 0.647 Se
0.360 0.062 0.070 Se
0.360 0.438 0.570 Se
0.394 0.075 0.393 Se
0.394 0.425 0.893 Se
0.606 0.575 0.107 Se
0.606 0.925 0.607 Se
0.640 0.562 0.430 Se
0.640 0.938 0.930 Se
0.684 0.228 0.353 Se
0.684 0.272 0.853 Se
0.767 0.653 0.928 Se
0.767 0.847 0.428 Se
0.769 0.087 0.820 Se
0.769 0.413 0.320 Se
0.804 0.146 0.134 Se
0.804 0.354 0.634 Se
0.804 0.718 0.649 Se
0.804 0.782 0.149 Se
0.981 0.533 0.837 Se
0.981 0.967 0.337 Se
```

Most intense lines, 5° ≤ 2θ ≤ 70°, in order of falling intensity:
| d/Å | I/Imax |
| --- | --- |
| 2.547 | 100 |
| 3.034 | 100 |
| 2.932 | 97 |
| 2.891 | 72 |
| 2.325 | 64 |
| 3.833 | 47 |
| 3.058 | 45 |
| 3.081 | 42 |

Ba4SiSb2Se11: computed PXRD pattern (Cu Kα X-rays), based on a crystal structure in the Materials Project, relaxed with PBE.
Peak positions follow from Bragg's law for the DFT cell and can differ from measured ones.

Atomic structure:
```
Ba4SiSb2Se11
1.0
4.780 -13.020 0.000
4.780 13.020 0.000
0.000 0.000 8.927
Ba Si Sb Se
8 2 4 22
Direct
0.043 0.463 0.240 Ba
0.207 0.287 0.000 Ba
0.287 0.207 0.500 Ba
0.463 0.043 0.740 Ba
0.537 0.957 0.240 Ba
0.713 0.793 0.000 Ba
0.793 0.713 0.500 Ba
0.957 0.537 0.740 Ba
0.420 0.580 0.332 Si
0.580 0.420 0.832 Si
0.149 0.851 0.170 Sb
0.356 0.644 0.670 Sb
0.644 0.356 0.170 Sb
0.851 0.149 0.670 Sb
0.027 0.973 0.217 Se
0.052 0.381 0.844 Se
0.056 0.944 0.846 Se
0.117 0.883 0.644 Se
0.211 0.409 0.479 Se
0.233 0.767 0.013 Se
0.269 0.731 0.531 Se
0.375 0.625 0.114 Se
0.381 0.052 0.344 Se
0.409 0.211 0.979 Se
0.495 0.505 0.757 Se
0.505 0.495 0.257 Se
0.591 0.789 0.479 Se
0.619 0.948 0.844 Se
0.625 0.375 0.614 Se
0.731 0.269 0.031 Se
0.767 0.233 0.513 Se
0.789 0.591 0.979 Se
0.883 0.117 0.144 Se
0.944 0.056 0.346 Se
0.948 0.619 0.344 Se
0.973 0.027 0.717 Se
```

Most intense lines, 5° ≤ 2θ ≤ 70°, in order of falling intensity:
| d/Å | I/Imax |
| --- | --- |
| 3.164 | 100 |
| 3.023 | 43 |
| 3.058 | 41 |
| 2.390 | 36 |
| 3.262 | 22 |
| 2.917 | 21 |
| 2.690 | 18 |
| 2.110 | 16 |

BaSbTe3: computed PXRD pattern (Cu Kα X-rays), based on a crystal structure in the Materials Project, relaxed with PBE.
Peak positions follow from Bragg's law for the DFT cell and can differ from measured ones.

Atomic structure:
```
BaSbTe3
1.0
4.617 0.000 0.000
0.000 17.358 0.000
0.000 0.000 18.359
Ba Sb Te
8 8 24
Direct
0.237 0.104 0.405 Ba
0.242 0.960 0.166 Ba
0.258 0.040 0.666 Ba
0.263 0.896 0.905 Ba
0.737 0.396 0.595 Ba
0.742 0.540 0.834 Ba
0.758 0.460 0.334 Ba
0.763 0.604 0.095 Ba
0.225 0.281 0.800 Sb
0.229 0.368 0.029 Sb
0.271 0.632 0.529 Sb
0.275 0.719 0.300 Sb
0.725 0.219 0.200 Sb
0.729 0.132 0.971 Sb
0.771 0.868 0.471 Sb
0.775 0.781 0.700 Sb
0.192 0.712 0.808 Te
0.213 0.237 0.559 Te
0.220 0.819 0.592 Te
0.238 0.897 0.368 Te
0.239 0.433 0.733 Te
0.248 0.475 0.475 Te
0.252 0.525 0.975 Te
0.261 0.567 0.233 Te
0.262 0.103 0.868 Te
0.280 0.181 0.092 Te
0.287 0.763 0.059 Te
0.308 0.288 0.308 Te
0.692 0.788 0.192 Te
0.713 0.263 0.441 Te
0.720 0.681 0.408 Te
0.738 0.603 0.632 Te
0.739 0.067 0.267 Te
0.748 0.025 0.525 Te
0.752 0.975 0.025 Te
0.761 0.933 0.767 Te
0.762 0.397 0.132 Te
0.780 0.319 0.908 Te
0.787 0.737 0.941 Te
0.808 0.212 0.692 Te
```

Most intense lines, 5° ≤ 2θ ≤ 70°, in order of falling intensity:
| d/Å | I/Imax |
| --- | --- |
| 3.048 | 100 |
| 3.199 | 90 |
| 3.248 | 65 |
| 2.309 | 43 |
| 3.411 | 31 |
| 2.125 | 26 |
| 3.109 | 23 |
| 1.881 | 21 |

BaZn2Sb2: computed PXRD pattern (Cu Kα X-rays), based on a crystal structure in the Materials Project, relaxed with PBE.
Peak positions follow from Bragg's law for the DFT cell and can differ from measured ones.

Atomic structure:
```
BaZn2Sb2
1.0
10.710 0.000 0.000
0.000 4.560 0.000
0.000 0.000 11.767
Ba Zn Sb
4 8 8
Direct
0.247 0.250 0.180 Ba
0.253 0.750 0.680 Ba
0.747 0.250 0.320 Ba
0.753 0.750 0.820 Ba
0.054 0.250 0.880 Zn
0.097 0.250 0.453 Zn
0.403 0.750 0.953 Zn
0.446 0.750 0.380 Zn
0.554 0.250 0.620 Zn
0.597 0.250 0.047 Zn
0.903 0.750 0.547 Zn
0.946 0.750 0.120 Zn
0.026 0.750 0.338 Sb
0.150 0.750 0.965 Sb
0.350 0.250 0.465 Sb
0.474 0.250 0.838 Sb
0.526 0.750 0.162 Sb
0.650 0.750 0.535 Sb
0.850 0.250 0.035 Sb
0.974 0.250 0.662 Sb
```

Most intense lines, 5° ≤ 2θ ≤ 70°, in order of falling intensity:
| d/Å | I/Imax |
| --- | --- |
| 3.330 | 100 |
| 2.865 | 72 |
| 3.052 | 43 |
| 2.280 | 37 |
| 2.837 | 26 |
| 1.913 | 22 |
| 2.437 | 22 |
| 1.827 | 19 |

BaZn2Sb2: computed PXRD pattern (Cu Kα X-rays), based on a crystal structure in the Materials Project, relaxed with PBE.
Peak positions follow from Bragg's law for the DFT cell and can differ from measured ones.

Atomic structure:
```
BaZn2Sb2
1.0
-2.350 2.350 10.532
2.350 -2.350 10.532
2.350 2.350 -10.532
Ba Zn Sb
1 2 2
Direct
0.000 0.000 0.000 Ba
0.376 0.876 0.500 Zn
0.876 0.376 0.500 Zn
0.462 0.462 0.000 Sb
0.811 0.811 0.000 Sb
```

Most intense lines, 5° ≤ 2θ ≤ 70°, in order of falling intensity:
| d/Å | I/Imax |
| --- | --- |
| 10.532 | 100 |
| 2.810 | 22 |
| 2.413 | 21 |
| 3.137 | 15 |
| 2.350 | 14 |
| 2.293 | 10 |
| 3.905 | 9 |
| 3.323 | 7 |